[1]
Starting from the GGA+U geometry in the Materials Project, the PXRD pattern of Co7Sb2O12 was computed for Cu Kα, 1.54184 Å.
Peak positions follow from Bragg's law for the DFT cell and can differ from measured ones.

Cell and atoms:
```
data_Co7Sb2O12
_symmetry_space_group_name_H-M 'C 1 2/c 1'
_symmetry_Int_Tables_number 15
_symmetry_space_group_name_Hall '-C 2yc'
_cell_length_a 8.6801
_cell_length_b 8.7379
_cell_length_c 13.5692
_cell_angle_alpha 90.00
_cell_angle_beta 107.31
_cell_angle_gamma 90.00
loop_
_atom_site_label
_atom_site_type_symbol
_atom_site_fract_x
_atom_site_fract_y
_atom_site_fract_z
Co1 Co 0.0000 0.0000 0.0000
Co2 Co 0.0000 0.1415 0.2500
Co3 Co 0.0776 0.2419 0.6607
Co4 Co 0.1591 0.3612 0.0789
Co5 Co 0.2500 0.2500 0.5000
Sb1 Sb 0.1729 0.4929 0.8357
O1 O 0.0158 0.2346 0.5051
O2 O 0.0729 0.4919 0.6751
O3 O 0.1003 0.0015 0.1681
O4 O 0.1575 0.2642 0.8267
O5 O 0.1761 0.2773 0.3356
O6 O 0.2443 0.4998 0.4894
```

Main lines, low angle first (2θ = 10–90°):
two_theta	I/Imax
17.8	60
29.0	29
34.0	70
34.2	100
34.5	28
34.6	27
35.5	26
55.5	24
60.1	31
60.3	31

[2]
Starting from the GGA+U geometry in the Materials Project, the PXRD pattern of CsRb2CoF6 was computed for Cu Kα, 1.54184 Å.
Peak positions follow from Bragg's law for the DFT cell and can differ from measured ones.

Cell and atoms:
```
data_CsRb2CoF6
_symmetry_space_group_name_H-M 'F m -3 m'
_symmetry_Int_Tables_number 225
_symmetry_space_group_name_Hall '-F 4 2 3'
_cell_length_a 9.2957
_cell_length_b 9.2957
_cell_length_c 9.2957
_cell_angle_alpha 90.00
_cell_angle_beta 90.00
_cell_angle_gamma 90.00
loop_
_atom_site_label
_atom_site_type_symbol
_atom_site_fract_x
_atom_site_fract_y
_atom_site_fract_z
Cs1 Cs 0.0000 0.0000 0.0000
Rb1 Rb 0.2500 0.2500 0.2500
Co1 Co 0.0000 0.0000 0.5000
F1 F 0.0000 0.0000 0.2982
```

Main lines, low angle first (2θ = 10–90°):
two_theta	I/Imax
27.1	100
31.9	6
38.7	34
42.4	7
47.9	36
56.0	20
63.3	22
70.1	6
76.7	22
89.5	10

[3]
Starting from the GGA+U geometry in the Materials Project, the PXRD pattern of Na4W5O15 was computed for Cu Kα, 1.54184 Å.
Peak positions follow from Bragg's law for the DFT cell and can differ from measured ones.

Cell and atoms:
```
data_Na4W5O15
_symmetry_space_group_name_H-M 'C 1 2/m 1'
_symmetry_Int_Tables_number 12
_symmetry_space_group_name_Hall '-C 2y'
_cell_length_a 16.7487
_cell_length_b 5.5961
_cell_length_c 6.8739
_cell_angle_alpha 90.00
_cell_angle_beta 105.39
_cell_angle_gamma 90.00
loop_
_atom_site_label
_atom_site_type_symbol
_atom_site_fract_x
_atom_site_fract_y
_atom_site_fract_z
Na1 Na 0.0985 0.0000 0.4004
Na2 Na 0.1988 0.5000 0.8001
W1 W 0.0000 0.5000 0.5000
W2 W 0.0980 0.0000 0.8962
W3 W 0.1971 0.5000 0.2964
O1 O 0.0000 0.0000 0.0000
O2 O 0.0517 0.2468 0.6960
O3 O 0.1048 0.5000 0.4011
O4 O 0.1542 0.2500 0.1080
O5 O 0.2007 0.0000 0.8010
O6 O 0.2500 0.2500 0.5000
```

Main lines, low angle first (2θ = 10–90°):
two_theta	I/Imax
22.4	93
22.5	46
31.8	20
32.0	100
45.7	27
51.6	29
51.8	19
56.8	16
57.0	24
66.9	20

[4]
Starting from the GGA+U geometry in the Materials Project, the PXRD pattern of Na2MgMn4O8 was computed for Cu Kα, 1.54184 Å.
Peak positions follow from Bragg's law for the DFT cell and can differ from measured ones.

Cell and atoms:
```
data_Na2MgMn4O8
_symmetry_space_group_name_H-M 'P 1'
_symmetry_Int_Tables_number 1
_symmetry_space_group_name_Hall 'P 1'
_cell_length_a 3.0629
_cell_length_b 5.3736
_cell_length_c 11.0188
_cell_angle_alpha 102.96
_cell_angle_beta 97.20
_cell_angle_gamma 91.26
loop_
_atom_site_label
_atom_site_type_symbol
_atom_site_fract_x
_atom_site_fract_y
_atom_site_fract_z
Na1 Na 0.0000 0.0000 0.0000
Na2 Na 0.4143 0.3811 0.5995
Mg1 Mg 0.7784 0.6989 0.4466
Mn1 Mn 0.0218 0.4363 0.8641
Mn2 Mn 0.2262 0.1067 0.3267
Mn3 Mn 0.3871 0.9483 0.7347
Mn4 Mn 0.6320 0.5018 0.1289
O1 O 0.1020 0.6300 0.0426
O2 O 0.1532 0.3199 0.1858
O3 O 0.3291 0.7880 0.5542
O4 O 0.4827 0.2154 0.9091
O5 O 0.7025 0.8508 0.2897
O6 O 0.7712 0.3129 0.4130
O7 O 0.8301 0.7255 0.7922
O8 O 0.9615 0.1979 0.7055
```

Main lines, low angle first (2θ = 10–90°):
two_theta	I/Imax
16.7	45
20.9	64
33.4	69
33.6	100
34.1	57
34.4	66
35.2	88
41.5	42
46.4	51
60.5	53

[5]
Starting from the GGA+U geometry in the Materials Project, the PXRD pattern of Li3Ti2Fe3O10 was computed for Cu Kα, 1.54184 Å.
Peak positions follow from Bragg's law for the DFT cell and can differ from measured ones.

Cell and atoms:
```
data_Li3Ti2Fe3O10
_symmetry_space_group_name_H-M 'P -1'
_symmetry_Int_Tables_number 2
_symmetry_space_group_name_Hall '-P 1'
_cell_length_a 5.1498
_cell_length_b 5.2086
_cell_length_c 7.8374
_cell_angle_alpha 73.47
_cell_angle_beta 73.52
_cell_angle_gamma 78.14
loop_
_atom_site_label
_atom_site_type_symbol
_atom_site_fract_x
_atom_site_fract_y
_atom_site_fract_z
Li1 Li 0.0000 0.0000 0.0000
Li2 Li 0.4831 0.7127 0.1066
Ti1 Ti 0.0185 0.3842 0.1882
Fe1 Fe 0.0306 0.1876 0.6024
Fe2 Fe 0.5000 0.5000 0.5000
O1 O 0.1948 0.0404 0.1675
O2 O 0.2131 0.8214 0.5610
O3 O 0.2170 0.6055 0.9753
O4 O 0.2309 0.4588 0.3566
O5 O 0.2555 0.2986 0.7286
```

Main lines, low angle first (2θ = 10–90°):
two_theta	I/Imax
12.1	85
17.9	34
18.1	93
22.4	21
26.6	21
26.8	19
30.0	27
40.4	62
43.7	100
61.9	15

[6]
Starting from the GGA+U geometry in the Materials Project, the PXRD pattern of Li7Co5O12 was computed for Cu Kα, 1.54184 Å.
Peak positions follow from Bragg's law for the DFT cell and can differ from measured ones.

Cell and atoms:
```
data_Li7Co5O12
_symmetry_space_group_name_H-M 'C 1 2/m 1'
_symmetry_Int_Tables_number 12
_symmetry_space_group_name_Hall '-C 2y'
_cell_length_a 15.0258
_cell_length_b 2.8588
_cell_length_c 10.0990
_cell_angle_alpha 90.00
_cell_angle_beta 108.20
_cell_angle_gamma 90.00
loop_
_atom_site_label
_atom_site_type_symbol
_atom_site_fract_x
_atom_site_fract_y
_atom_site_fract_z
Li1 Li 0.0000 0.0000 0.0000
Li2 Li 0.0010 0.5000 0.2446
Li3 Li 0.1656 0.0000 0.2479
Li4 Li 0.1666 0.0000 0.7491
Co1 Co 0.0000 0.0000 0.5000
Co2 Co 0.1642 0.5000 0.0036
Co3 Co 0.1668 0.5000 0.5002
O1 O 0.0782 0.5000 0.6153
O2 O 0.0805 0.0000 0.3853
O3 O 0.0933 0.5000 0.1165
O4 O 0.0964 0.0000 0.8920
O5 O 0.2448 0.0000 0.1042
O6 O 0.2472 0.0000 0.6188
```

Main lines, low angle first (2θ = 10–90°):
two_theta	I/Imax
12.4	9
18.5	100
36.5	13
36.7	26
44.1	55
44.5	26
48.7	8
58.0	9
64.2	15
64.7	14

[7]
Starting from the GGA+U geometry in the Materials Project, the PXRD pattern of Ba2Tl2Zn2Ni3O10 was computed for Cu Kα, 1.54184 Å.
Peak positions follow from Bragg's law for the DFT cell and can differ from measured ones.

Cell and atoms:
```
data_Ba2Tl2Zn2Ni3O10
_symmetry_space_group_name_H-M 'P 1'
_symmetry_Int_Tables_number 1
_symmetry_space_group_name_Hall 'P 1'
_cell_length_a 3.6327
_cell_length_b 3.7035
_cell_length_c 20.8102
_cell_angle_alpha 94.97
_cell_angle_beta 94.99
_cell_angle_gamma 90.00
loop_
_atom_site_label
_atom_site_type_symbol
_atom_site_fract_x
_atom_site_fract_y
_atom_site_fract_z
Ba1 Ba 0.0000 0.0000 0.0000
Ba2 Ba 0.3232 0.3043 0.5785
Tl1 Tl 0.4388 0.4338 0.8496
Tl2 Tl 0.8881 0.8761 0.7306
Zn1 Zn 0.1128 0.1211 0.2055
Zn2 Zn 0.2191 0.2121 0.3744
Ni1 Ni 0.5645 0.5786 0.1279
Ni2 Ni 0.6629 0.6668 0.2873
Ni3 Ni 0.7610 0.7490 0.4508
O1 O 0.0835 0.6011 0.1652
O2 O 0.1851 0.6909 0.3315
O3 O 0.2827 0.7661 0.4941
O4 O 0.3951 0.3441 0.7468
O5 O 0.4773 0.4711 0.9491
O6 O 0.5409 0.0590 0.0870
O7 O 0.6356 0.1485 0.2513
O8 O 0.7404 0.2319 0.4178
O9 O 0.8480 0.8240 0.6313
O10 O 0.9337 0.8854 0.8338
```

Main lines, low angle first (2θ = 10–90°):
two_theta	I/Imax
28.5	69
28.9	66
30.3	29
31.0	46
31.4	45
34.6	100
46.6	37
49.2	26
50.2	24
58.8	23

[8]
Starting from the GGA+U geometry in the Materials Project, the PXRD pattern of VHO3 was computed for Cu Kα, 1.54184 Å.
Peak positions follow from Bragg's law for the DFT cell and can differ from measured ones.

Cell and atoms:
```
data_VHO3
_symmetry_space_group_name_H-M 'P 1'
_symmetry_Int_Tables_number 1
_symmetry_space_group_name_Hall 'P 1'
_cell_length_a 5.1900
_cell_length_b 8.1853
_cell_length_c 8.6276
_cell_angle_alpha 89.65
_cell_angle_beta 87.95
_cell_angle_gamma 82.23
loop_
_atom_site_label
_atom_site_type_symbol
_atom_site_fract_x
_atom_site_fract_y
_atom_site_fract_z
V1 V 0.0000 0.0000 0.0000
V2 V 0.0048 0.0042 0.6103
V3 V 0.1076 0.3609 0.4898
V4 V 0.1416 0.3512 0.1056
V5 V 0.4715 0.1173 0.7900
V6 V 0.6395 0.2415 0.3038
H1 H 0.4046 0.6457 0.7628
H2 H 0.5562 0.8443 0.2884
H3 H 0.5757 0.4622 0.8038
H4 H 0.6534 0.6517 0.2732
H5 H 0.7190 0.5945 0.7080
H6 H 0.9246 0.7976 0.1946
O1 O 0.0413 0.4922 0.9807
O2 O 0.0840 0.8407 0.1279
O3 O 0.1407 0.8608 0.4954
O4 O 0.1441 0.9328 0.8045
O5 O 0.2304 0.1777 0.6397
O6 O 0.2467 0.1634 0.9651
O7 O 0.4382 0.3867 0.4480
O8 O 0.4644 0.3803 0.1521
O9 O 0.4742 0.0862 0.3050
O10 O 0.5760 0.5896 0.7919
O11 O 0.6242 0.2818 0.7879
O12 O 0.6774 0.9656 0.6645
O13 O 0.6884 0.9884 0.9545
O14 O 0.7091 0.7601 0.2864
O15 O 0.8867 0.1849 0.4651
O16 O 0.9027 0.1816 0.1456
O17 O 0.9769 0.5068 0.6112
O18 O 0.9890 0.4289 0.2986
```

Main lines, low angle first (2θ = 10–90°):
two_theta	I/Imax
10.9	100
15.0	22
17.3	8
24.3	19
26.1	12
26.5	22
27.5	18
30.3	9
30.5	9
38.9	8

[9]
Starting from the GGA+U geometry in the Materials Project, the PXRD pattern of Co2OF3 was computed for Cu Kα, 1.54184 Å.
Peak positions follow from Bragg's law for the DFT cell and can differ from measured ones.

Cell and atoms:
```
data_Co2OF3
_symmetry_space_group_name_H-M 'P 1 21/c 1'
_symmetry_Int_Tables_number 14
_symmetry_space_group_name_Hall '-P 2ybc'
_cell_length_a 5.7166
_cell_length_b 4.7360
_cell_length_c 10.3907
_cell_angle_alpha 90.00
_cell_angle_beta 96.60
_cell_angle_gamma 90.00
loop_
_atom_site_label
_atom_site_type_symbol
_atom_site_fract_x
_atom_site_fract_y
_atom_site_fract_z
Co1 Co 0.0000 0.0000 0.0000
Co2 Co 0.2411 0.0312 0.7311
Co3 Co 0.5000 0.0000 0.5000
O1 O 0.2189 0.1998 0.5753
F1 F 0.0218 0.7003 0.6793
F2 F 0.2757 0.6853 0.4119
F3 F 0.4845 0.1991 0.3241
```

Main lines, low angle first (2θ = 10–90°):
two_theta	I/Imax
26.6	100
34.3	15
34.5	26
34.8	12
51.8	17
52.1	15
52.4	14
52.6	13
54.7	17
66.4	11